Diffraction record for BaHg2As. The powder diffractogram is simulated, not measured: it uses a structure optimized by DFT (PBE) and Cu Kα X-rays.
Lines closer than 0.1° are merged.

Structural model:
```
BaHg2As
1.0
4.163 0.000 0.000
0.000 4.163 0.000
0.000 0.000 6.810
Ba Hg As
1 2 1
Direct
0.000 0.000 0.000
0.500 0.500 0.286
0.500 0.500 0.714
0.000 0.000 0.500
```

Principal peaks in the range 15° ≤ 2θ ≤ 90°, by angle:
2θ = 21.3°, 4.163 Å, I 17, (1 0 0); 2θ = 30.4°, 2.944 Å, I 77, (1 1 0); 2θ = 34.0°, 2.636 Å, I 100, (1 0 2); 2θ = 43.5°, 2.081 Å, I 29, (2 0 0); 2θ = 56.3°, 1.634 Å, I 48, (2 1 2); 2θ = 63.1°, 1.473 Å, I 21, (2 2 0); 2θ = 71.7°, 1.317 Å, I 21, (3 1 0); 2θ = 89.7°, 1.093 Å, I 14, (3 2 2)

Diffraction record for BaHg2As2. The powder diffractogram is simulated, not measured: it uses a structure optimized by DFT (PBE) and Cu Kα X-rays.
Lines closer than 0.1° are merged.

Structural model:
```
BaHg2As2
1.0
4.687 0.000 0.000
0.000 4.687 0.000
0.000 0.000 12.530
Ba Hg As
2 4 4
Direct
0.000 0.000 0.000
0.500 0.500 0.500
0.000 0.500 0.250
0.000 0.500 0.750
0.500 0.000 0.250
0.500 0.000 0.750
0.000 0.000 0.398
0.000 0.000 0.602
0.500 0.500 0.102
0.500 0.500 0.898
```

Principal peaks in the range 15° ≤ 2θ ≤ 90°, by angle:
2θ = 28.5°, 3.133 Å, I 14, (0 0 4); 2θ = 30.5°, 2.929 Å, I 100, (1 1 2); 2θ = 38.4°, 2.343 Å, I 38, (2 0 0); 2θ = 39.6°, 2.276 Å, I 24, (1 1 4); 2θ = 48.5°, 1.876 Å, I 19, (2 0 4); 2θ = 55.5°, 1.657 Å, I 13, (2 2 0); 2θ = 64.6°, 1.442 Å, I 24, (3 1 2); 2θ = 82.3°, 1.172 Å, I 13, (4 0 0)

Diffraction record for BaNaHg2As. The powder diffractogram is simulated, not measured: it uses a structure optimized by DFT (PBE) and Cu Kα X-rays.
Lines closer than 0.1° are merged.

Structural model:
```
BaNaHg2As
1.0
4.595 0.000 0.000
0.000 4.707 0.000
0.000 0.000 13.428
Ba Na Hg As
2 2 4 2
Direct
0.000 0.000 0.000
0.500 0.500 0.500
0.000 0.500 0.723
0.500 0.000 0.223
0.000 0.000 0.374
0.000 0.500 0.235
0.500 0.000 0.735
0.500 0.500 0.874
0.000 0.000 0.582
0.500 0.500 0.082
```

Principal peaks in the range 15° ≤ 2θ ≤ 90°, by angle:
2θ = 20.4°, 4.347 Å, I 56, (1 0 1); 2θ = 27.5°, 3.244 Å, I 53, (0 1 3); 2θ = 30.3°, 2.953 Å, I 100, (1 1 2); 2θ = 38.3°, 2.351 Å, I 65, (0 2 0); 2θ = 38.6°, 2.333 Å, I 27, (0 1 5); 2θ = 38.8°, 2.319 Å, I 23, (1 0 5); 2θ = 39.2°, 2.297 Å, I 27, (2 0 0); 2θ = 48.6°, 1.875 Å, I 23, (2 1 3)

Diffraction record for BaHgAsPb. The powder diffractogram is simulated, not measured: it uses a structure optimized by DFT (PBE) and Cu Kα X-rays.
Lines closer than 0.1° are merged.

Structural model:
```
BaHgAsPb
1.0
4.122 0.000 0.000
0.000 4.420 0.000
0.000 0.000 16.020
Ba Hg As Pb
2 2 2 2
Direct
0.000 0.000 0.000
0.500 0.500 0.500
0.000 0.000 0.352
0.500 0.500 0.852
0.000 0.000 0.584
0.500 0.500 0.084
0.000 0.500 0.204
0.500 0.000 0.704
```

Principal peaks in the range 15° ≤ 2θ ≤ 90°, by angle:
2θ = 22.3°, 3.992 Å, I 61, (1 0 1); 2θ = 26.2°, 3.405 Å, I 100, (0 1 3); 2θ = 31.7°, 2.821 Å, I 70, (1 1 2); 2θ = 35.5°, 2.530 Å, I 41, (1 0 5); 2θ = 37.3°, 2.408 Å, I 52, (1 1 4); 2θ = 40.8°, 2.210 Å, I 24, (0 2 0); 2θ = 51.9°, 1.763 Å, I 32, (2 1 3); 2θ = 55.2°, 1.664 Å, I 23, (1 2 5)

Repeat the first record exactly.
Diffraction record for BaHg2As. The powder diffractogram is simulated, not measured: it uses a structure optimized by DFT (PBE) and Cu Kα X-rays.
Lines closer than 0.1° are merged.

Structural model:
```
BaHg2As
1.0
4.163 0.000 0.000
0.000 4.163 0.000
0.000 0.000 6.810
Ba Hg As
1 2 1
Direct
0.000 0.000 0.000
0.500 0.500 0.286
0.500 0.500 0.714
0.000 0.000 0.500
```

Principal peaks in the range 15° ≤ 2θ ≤ 90°, by angle:
2θ = 21.3°, 4.163 Å, I 17, (1 0 0); 2θ = 30.4°, 2.944 Å, I 77, (1 1 0); 2θ = 34.0°, 2.636 Å, I 100, (1 0 2); 2θ = 43.5°, 2.081 Å, I 29, (2 0 0); 2θ = 56.3°, 1.634 Å, I 48, (2 1 2); 2θ = 63.1°, 1.473 Å, I 21, (2 2 0); 2θ = 71.7°, 1.317 Å, I 21, (3 1 0); 2θ = 89.7°, 1.093 Å, I 14, (3 2 2)